Diffraction record for Ce2USe5. The XRD peak list is computed, not measured: it uses a DFT-relaxed cell (GGA-PBE, Alexandria) and copper Kα.
No peak broadening, texture or thermal motion is included.

Crystal structure
Cell: 12.3987 8.4305 7.8151 Å, 90.00 90.00 90.00°
Space group Pnma (No. 62)
Asymmetric unit:
Ce  0.1779  0.9998  0.0276 (multiplicity 8)
U  0.0078  0.2500  0.5747 (multiplicity 4)
Se  0.0009  0.2500  0.9583 (multiplicity 4)
Se  0.0951  0.5446  0.6664 (multiplicity 8)
Se  0.1866  0.2500  0.3332 (multiplicity 4)
Se  0.2162  0.7500  0.3050 (multiplicity 4)

Peak list (10 most intense, 2θ = 10–90°, low angle first)
- 24.36 deg, d = 3.653 Å, rel. 55.1, (3 0 1)
- 25.05 deg, d = 3.554 Å, rel. 43.9, (1 2 1)
- 25.55 deg, d = 3.486 Å, rel. 42.7, (2 2 0)
- 32.06 deg, d = 2.792 Å, rel. 35.7, (1 2 2)
- 34.48 deg, d = 2.601 Å, rel. 100.0, (2 2 2)
- 35.96 deg, d = 2.497 Å, rel. 53.7, (4 2 0)
- 39.00 deg, d = 2.310 Å, rel. 32.1, (2 1 3)
- 42.92 deg, d = 2.107 Å, rel. 47.9, (0 4 0)
- 43.92 deg, d = 2.062 Å, rel. 47.9, (5 2 1)
- 49.94 deg, d = 1.826 Å, rel. 52.9, (6 0 2)

---

Diffraction record for CeY2Se3. The XRD peak list is computed, not measured: it uses a DFT-relaxed cell (GGA-PBE, Alexandria) and copper Kα.
No peak broadening, texture or thermal motion is included.

Crystal structure
Cell: 4.0956 5.8452 12.4562 Å, 90.00 90.00 90.00°
Space group Immm (No. 71)
Asymmetric unit:
Ce  0.0000  0.0000  0.0000 (multiplicity 2)
Y  0.0000  0.0000  0.3351 (multiplicity 4)
Se  0.0000  0.5000  0.0000 (multiplicity 2)
Se  0.0000  0.5000  0.3276 (multiplicity 4)

Peak list (10 most intense, 2θ = 10–90°, low angle first)
- 30.64 deg, d = 2.918 Å, rel. 100.0, (0 2 0)
- 43.60 deg, d = 2.076 Å, rel. 12.3, (0 0 6)
- 43.86 deg, d = 2.064 Å, rel. 48.8, (1 2 3)
- 44.23 deg, d = 2.048 Å, rel. 11.9, (2 0 0)
- 54.19 deg, d = 1.693 Å, rel. 13.1, (0 2 6)
- 54.73 deg, d = 1.677 Å, rel. 12.6, (2 2 0)
- 72.33 deg, d = 1.306 Å, rel. 10.8, (1 4 3)
- 72.45 deg, d = 1.305 Å, rel. 10.6, (2 2 6)
- 80.24 deg, d = 1.196 Å, rel. 7.9, (1 2 9)
- 81.13 deg, d = 1.185 Å, rel. 7.9, (3 2 3)

---

Diffraction record for Ce4Y3Se8. The XRD peak list is computed, not measured: it uses a DFT-relaxed cell (GGA-PBE, Alexandria) and copper Kα.
No peak broadening, texture or thermal motion is included.

Crystal structure
Cell: 8.1802 8.1802 23.0689 Å, 90.00 90.00 120.00°
Space group R-3m (No. 166, hexagonal axes)
Asymmetric unit:
Ce  0.0000  0.0000  0.0000 (multiplicity 3)
Ce  0.0000  0.0000  0.1461 (multiplicity 6)
Ce  0.0000  0.0000  0.5000 (multiplicity 3)
Y  0.0000  0.5000  0.0000 (multiplicity 9)
Se  0.0000  0.0000  0.2687 (multiplicity 6)
Se  0.0105  0.5053  0.2554 (multiplicity 18)

Peak list (10 most intense, 2θ = 10–90°, low angle first)
- 21.73 deg, d = 4.090 Å, rel. 54.7, (1 1 0)
- 24.65 deg, d = 3.611 Å, rel. 35.5, (1 1 3)
- 25.44 deg, d = 3.501 Å, rel. 28.6, (0 2 1)
- 29.60 deg, d = 3.018 Å, rel. 100.0, (0 2 4)
- 31.95 deg, d = 2.802 Å, rel. 33.9, (1 1 6)
- 37.27 deg, d = 2.413 Å, rel. 37.7, (0 2 7)
- 40.33 deg, d = 2.236 Å, rel. 76.6, (2 0 8)
- 44.29 deg, d = 2.045 Å, rel. 81.2, (2 2 0)
- 61.44 deg, d = 1.509 Å, rel. 21.5, (0 4 8)
- 66.79 deg, d = 1.401 Å, rel. 22.5, (2 2 12)